1.
Starting from a DFT-relaxed cell (PBE, the Materials Project), the powder XRD pattern of TiFe4N4 was computed for Cu Kα X-rays.
Kinematic intensities with the Lorentz-polarization factor, no thermal factor.

Peak list (12 most intense, 2θ = 5–70°, in order of rising 2θ)
36.82 deg, I = 100, (1 1 -2)
37.93 deg, I = 79, (0 2 0)
38.10 deg, I = 73, (1 1 3)
39.38 deg, I = 78, (2 0 1)
41.60 deg, I = 90, (2 2 1)
43.17 deg, I = 89, (-1 1 2)
47.77 deg, I = 68, (1 -1 3)
61.36 deg, I = 22, (1 3 3)
61.65 deg, I = 23, (3 1 -1)
63.31 deg, I = 23, (1 3 -2)
64.72 deg, I = 25, (0 0 5)
67.94 deg, I = 19, (2 -2 1)

Cell and atoms:
Unit cell a=5.071 b=5.242 c=7.479 alpha=80.47 beta=74.78 gamma=65.07
Space group P-1 (No. 2)
Symmetry-distinct sites (fractional):
Ti 0.071 0.287 0.213 x2
Fe 0.087 0.778 0.387 x2
Fe 0.277 0.740 0.027 x2
Fe 0.353 0.183 0.783 x2
Fe 0.438 0.766 0.591 x2
N 0.118 0.973 0.810 x2
N 0.249 0.503 0.583 x2
N 0.301 0.035 0.393 x2
N 0.314 0.382 0.975 x2



2.
Starting from a DFT-relaxed cell (PBE, the Materials Project), the powder XRD pattern of Mg5Ga was computed for Cu Kα X-rays.
Kinematic intensities with the Lorentz-polarization factor, no thermal factor.

Peak list (12 most intense, 2θ = 5–70°, in order of rising 2θ)
5.66 deg, I = 95, (0 0 1)
11.33 deg, I = 24, (0 0 2)
17.03 deg, I = 9, (0 0 3)
33.11 deg, I = 27, (1 0 0)
33.61 deg, I = 10, (1 0 1)
34.45 deg, I = 27, (0 0 6)
35.10 deg, I = 8, (1 0 2)
37.46 deg, I = 100, (1 0 3)
40.56 deg, I = 8, (1 0 4)
48.52 deg, I = 18, (1 0 6)
59.14 deg, I = 17, (1 1 0)
63.70 deg, I = 19, (1 0 9)

Cell and atoms:
Unit cell a=3.1244 b=3.1244 c=15.6220 alpha=90.00 beta=90.00 gamma=120.00
Space group P-6m2 (No. 187)
Symmetry-distinct sites (fractional):
Mg 0.0000 0.0000 0.0000 x1
Mg 0.0000 0.0000 0.3412 x2
Mg 0.6667 0.3333 0.1685 x2
Ga 0.6667 0.3333 0.5000 x1



3.
Starting from a DFT-relaxed cell (PBE, the Materials Project), the powder XRD pattern of Al2Zn3S6 was computed for Cu Kα X-rays.
Kinematic intensities with the Lorentz-polarization factor, no thermal factor.

Peak list (12 most intense, 2θ = 5–70°, in order of rising 2θ)
14.34 deg, I = 43, (0 0 3)
26.97 deg, I = 100, (1 1 0)
28.91 deg, I = 42, (0 0 6)
30.68 deg, I = 63, (1 1 3)
39.95 deg, I = 48, (1 1 6)
47.65 deg, I = 56, (3 0 0)
50.02 deg, I = 10, (3 0 3)
52.35 deg, I = 55, (1 1 9)
55.61 deg, I = 11, (2 2 0)
56.70 deg, I = 33, (0 3 6)
57.75 deg, I = 9, (4 -2 3)
63.88 deg, I = 10, (4 -2 6)

Cell and atoms:
Unit cell a=6.6109 b=6.6109 c=18.5291 alpha=90.00 beta=90.00 gamma=120.00
Space group R3 (No. 146, hexagonal axes)
Symmetry-distinct sites (fractional):
Al 0.0000 0.0000 0.0000 x3
Al 0.0000 0.0000 0.3369 x3
Zn 0.0184 0.3473 0.1670 x9
S 0.0000 0.0000 0.2123 x3
S 0.0000 0.0000 0.5481 x3
S 0.0000 0.0000 0.8753 x3
S 0.0024 0.3449 0.7061 x9



4.
Starting from a DFT-relaxed cell (PBE, the Materials Project), the powder XRD pattern of Li2Mg was computed for Cu Kα X-rays.
Kinematic intensities with the Lorentz-polarization factor, no thermal factor.

Peak list (12 most intense, 2θ = 5–70°, in order of rising 2θ)
11.62 deg, I = 65, (0 2 0)
21.23 deg, I = 43, (0 2 1)
28.59 deg, I = 30, (1 1 0)
29.47 deg, I = 34, (0 4 1)
35.37 deg, I = 21, (0 6 0)
35.85 deg, I = 30, (0 0 2)
37.84 deg, I = 100, (1 3 1)
39.82 deg, I = 13, (0 6 1)
44.95 deg, I = 13, (1 5 1)
46.48 deg, I = 15, (1 1 2)
51.24 deg, I = 14, (0 6 2)
65.75 deg, I = 17, (1 3 3)

Cell and atoms:
Unit cell a=3.190 b=15.228 c=5.009 alpha=90.00 beta=90.00 gamma=90.00
Space group Cmcm (No. 63)
Symmetry-distinct sites (fractional):
Li 0.000 0.101 0.250 x4
Li 0.000 0.237 0.750 x4
Mg 0.000 0.432 0.250 x4



5.
Starting from a DFT-relaxed cell (PBE, the Materials Project), the powder XRD pattern of Li2CdIn was computed for Cu Kα X-rays.
Kinematic intensities with the Lorentz-polarization factor, no thermal factor.

Peak list (6 most intense, 2θ = 5–70°, in order of rising 2θ)
22.63 deg, I = 100, (1 1 1)
37.37 deg, I = 98, (2 2 0)
44.14 deg, I = 50, (3 1 1)
53.89 deg, I = 16, (4 0 0)
59.18 deg, I = 20, (3 3 1)
67.42 deg, I = 33, (4 2 2)

Cell and atoms:
Unit cell a=6.805 b=6.805 c=6.805 alpha=90.00 beta=90.00 gamma=90.00
Space group F-43m (No. 216)
Symmetry-distinct sites (fractional):
Li 0.000 0.000 0.000 x4
Li 0.250 0.250 0.250 x4
Cd 0.000 0.000 0.500 x4
In 0.250 0.250 0.750 x4



6.
Starting from a DFT-relaxed cell (PBE, the Materials Project), the powder XRD pattern of Sc7CoI12 was computed for Cu Kα X-rays.
Kinematic intensities with the Lorentz-polarization factor, no thermal factor.

Peak list (12 most intense, 2θ = 5–70°, in order of rising 2θ)
25.68 deg, I = 25, (0 0 3)
25.87 deg, I = 73, (1 3 1)
29.90 deg, I = 100, (4 -1 2)
42.68 deg, I = 34, (1 3 4)
42.92 deg, I = 35, (5 2 0)
50.48 deg, I = 14, (4 -1 5)
50.69 deg, I = 26, (7 -5 3)
50.80 deg, I = 12, (8 -2 1)
53.19 deg, I = 17, (2 6 2)
62.13 deg, I = 11, (8 -2 4)
68.10 deg, I = 6, (1 3 7)
68.63 deg, I = 11, (10 -9 1)

Cell and atoms:
Unit cell a=15.1951 b=15.1951 c=10.4061 alpha=90.00 beta=90.00 gamma=120.00
Space group R-3 (No. 148, hexagonal axes)
Symmetry-distinct sites (fractional):
Sc 0.0000 0.0000 0.0000 x3
Sc 0.0418 0.8927 0.3701 x18
Co 0.0000 0.0000 0.5000 x3
I 0.0271 0.4386 0.1601 x18
I 0.0500 0.8777 0.8327 x18



7.
Starting from a DFT-relaxed cell (PBE, the Materials Project), the powder XRD pattern of Mg6GaNi was computed for Cu Kα X-rays.
Kinematic intensities with the Lorentz-polarization factor, no thermal factor.

Peak list (12 most intense, 2θ = 5–70°, in order of rising 2θ)
16.72 deg, I = 39, (0 1 1)
25.37 deg, I = 11, (1 0 2)
33.82 deg, I = 20, (0 2 2)
34.71 deg, I = 14, (0 0 4)
35.24 deg, I = 15, (1 1 3)
37.62 deg, I = 35, (2 0 0)
38.85 deg, I = 100, (1 2 2)
39.63 deg, I = 40, (1 0 4)
51.47 deg, I = 12, (2 2 2)
59.93 deg, I = 10, (0 4 0)
61.64 deg, I = 15, (0 2 6)
68.71 deg, I = 17, (3 2 2)

Cell and atoms:
Unit cell a=4.783 b=6.174 c=10.339 alpha=90.00 beta=90.00 gamma=90.00
Space group Amm2 (No. 38)
Symmetry-distinct sites (fractional):
Mg 0.000 0.000 0.000 x2
Mg 0.000 0.235 0.742 x4
Mg 0.500 0.000 0.173 x2
Mg 0.500 0.243 0.428 x4
Ga 0.000 0.000 0.505 x2
Ni 0.500 0.000 0.669 x2



8.
Starting from a DFT-relaxed cell (PBE, the Materials Project), the powder XRD pattern of NaBrO2 was computed for Cu Kα X-rays.
Kinematic intensities with the Lorentz-polarization factor, no thermal factor.

Peak list (12 most intense, 2θ = 5–70°, in order of rising 2θ)
21.77 deg, I = 48, (1 0 0)
26.23 deg, I = 39, (0 0 1)
30.98 deg, I = 30, (1 1 0)
34.34 deg, I = 100, (1 0 1)
44.38 deg, I = 40, (2 0 0)
49.96 deg, I = 10, (2 1 0)
52.29 deg, I = 19, (2 0 1)
53.98 deg, I = 11, (0 0 2)
57.29 deg, I = 43, (2 1 1)
58.88 deg, I = 6, (1 0 2)
63.55 deg, I = 9, (1 1 2)
64.57 deg, I = 12, (2 2 0)

Cell and atoms:
Unit cell a=4.082 b=4.082 c=3.397 alpha=90.00 beta=90.00 gamma=90.00
Space group P4/mmm (No. 123)
Symmetry-distinct sites (fractional):
Na 0.000 0.000 0.000 x1
Br 0.500 0.500 0.500 x1
O 0.000 0.500 0.500 x2